[1]
Diffraction record for ZrP2HO7. The powder XRD pattern is simulated, not measured: it uses a PBE-relaxed structure and Cu Kα, 1.54184 Å.
Lines closer than 0.1° are merged.

Crystal structure
abc: 5.5056 5.5056 12.0711
angles: 90.00 90.00 120.00
Space group P-3 (No. 147)
Unique sites:
1 Zr 0.0000 0.0000 0.2412 (multiplicity 2)
2 P 0.3333 0.6667 0.1034 (multiplicity 2)
3 P 0.3333 0.6667 0.6198 (multiplicity 2)
4 H 0.3333 0.6667 0.9872 (multiplicity 2)
5 O 0.1631 0.8041 0.1399 (multiplicity 6)
6 O 0.1672 0.8046 0.6627 (multiplicity 6)
7 O 0.3333 0.6667 0.4922 (multiplicity 2)

Main lines, most intense first (10° ≤ 2θ ≤ 80°):
23.78 deg, intensity 1000, hkl 1 0 2; 14.68 deg, intensity 246, hkl 0 0 2; 32.53 deg, intensity 223, hkl 1 1 0; 35.19 deg, intensity 199, hkl 1 0 4; 53.03 deg, intensity 185, hkl 2 1 2; 48.67 deg, intensity 165, hkl 2 0 4

---

[2]
Diffraction record for ZrP2H2O6. The powder XRD pattern is simulated, not measured: it uses a PBE-relaxed structure and Cu Kα, 1.54184 Å.
Lines closer than 0.1° are merged.

Crystal structure
abc: 5.5177 5.5177 5.8443
angles: 90.00 90.00 120.00
Space group P-3m1 (No. 164)
Unique sites:
1 Zr 0.0000 0.0000 0.0000 (multiplicity 1)
2 P 0.3333 0.6667 0.2822 (multiplicity 2)
3 H 0.3333 0.6667 0.5224 (multiplicity 2)
4 O 0.1797 0.3593 0.2062 (multiplicity 6)

Main lines, most intense first (10° ≤ 2θ ≤ 80°):
24.06 deg, intensity 1000, hkl 0 1 1; 36.02 deg, intensity 323, hkl 1 0 2; 15.16 deg, intensity 297, hkl 0 0 1; 18.57 deg, intensity 220, hkl 1 0 0; 49.26 deg, intensity 204, hkl 0 2 2; 32.45 deg, intensity 193, hkl 1 1 0

---

[3]
Diffraction record for Zr2P3H3O13. The powder XRD pattern is simulated, not measured: it uses a PBE-relaxed structure and Cu Kα, 1.54184 Å.
Lines closer than 0.1° are merged.

Crystal structure
abc: 8.8895 8.9009 9.4370
angles: 62.89 62.29 60.35
Space group P1 (No. 1)
Unique sites:
1 Zr 0.0000 0.0000 0.0000 (multiplicity 1)
2 Zr 0.2004 0.2148 0.3909 (multiplicity 1)
3 Zr 0.4950 0.5085 0.4999 (multiplicity 1)
4 Zr 0.7020 0.7056 0.8903 (multiplicity 1)
5 P 0.1049 0.3873 0.7043 (multiplicity 1)
6 P 0.3159 0.8928 0.1972 (multiplicity 1)
7 P 0.3892 0.8277 0.6899 (multiplicity 1)
8 P 0.6013 0.3207 0.1926 (multiplicity 1)
9 P 0.8150 0.1036 0.6929 (multiplicity 1)
10 P 0.8879 0.6070 0.1980 (multiplicity 1)
11 H 0.2884 0.3694 0.9265 (multiplicity 1)
12 H 0.4121 0.3226 0.0464 (multiplicity 1)
13 H 0.5124 0.3111 0.8338 (multiplicity 1)
14 H 0.8079 0.8416 0.4135 (multiplicity 1)
15 H 0.8457 0.8968 0.5398 (multiplicity 1)
16 H 0.9991 0.8812 0.3370 (multiplicity 1)
17 O 0.0574 0.4368 0.2274 (multiplicity 1)
18 O 0.0938 0.2140 0.8518 (multiplicity 1)
19 O 0.1217 0.3674 0.5426 (multiplicity 1)
20 O 0.1364 0.9253 0.1754 (multiplicity 1)
21 O 0.2217 0.8480 0.8485 (multiplicity 1)
22 O 0.2724 0.4222 0.6755 (multiplicity 1)
23 O 0.2850 0.0545 0.2405 (multiplicity 1)
24 O 0.3473 0.7189 0.3447 (multiplicity 1)
25 O 0.3586 0.0021 0.5425 (multiplicity 1)
26 O 0.4003 0.3617 0.9298 (multiplicity 1)
27 O 0.4185 0.6697 0.6410 (multiplicity 1)
28 O 0.4329 0.2894 0.2128 (multiplicity 1)
29 O 0.4747 0.8725 0.0354 (multiplicity 1)
30 O 0.5589 0.7869 0.7274 (multiplicity 1)
31 O 0.5772 0.3411 0.3559 (multiplicity 1)
32 O 0.6111 0.4933 0.0452 (multiplicity 1)
33 O 0.6415 0.2770 0.6742 (multiplicity 1)
34 O 0.7216 0.5843 0.3537 (multiplicity 1)
35 O 0.7736 0.1575 0.1519 (multiplicity 1)
36 O 0.7857 0.9383 0.7069 (multiplicity 1)
37 O 0.8419 0.0732 0.8549 (multiplicity 1)
38 O 0.8553 0.6315 0.0405 (multiplicity 1)
39 O 0.8991 0.8397 0.4452 (multiplicity 1)
40 O 0.9157 0.7778 0.1716 (multiplicity 1)
41 O 0.9300 0.5470 0.7491 (multiplicity 1)
42 O 0.9778 0.1305 0.5375 (multiplicity 1)

Main lines, most intense first (10° ≤ 2θ ≤ 80°):
19.91 deg, intensity 1000, hkl 1 -1 0; 27.42 deg, intensity 613, hkl 2 2 0; 29.82 deg, intensity 563, hkl 1 2 -1; 30.17 deg, intensity 487, hkl 2 1 3; 22.70 deg, intensity 483, hkl 1 2 0; 13.61 deg, intensity 475, hkl 1 0 1

---

[4]
Diffraction record for ZrP2H2O8. The powder XRD pattern is simulated, not measured: it uses a PBE-relaxed structure and Cu Kα, 1.54184 Å.
Lines closer than 0.1° are merged.

Crystal structure
abc: 11.5037 11.5037 10.9100
angles: 90.00 90.00 90.00
Space group I4_1cd (No. 110)
Unique sites:
1 Zr 0.0000 0.0000 0.0000 (multiplicity 8)
2 P 0.0375 0.3046 0.4975 (multiplicity 16)
3 H 0.2048 0.2569 0.4181 (multiplicity 16)
4 O 0.0046 0.3704 0.8842 (multiplicity 16)
5 O 0.0137 0.3712 0.6155 (multiplicity 16)
6 O 0.0147 0.1822 0.0003 (multiplicity 16)
7 O 0.1767 0.2937 0.4940 (multiplicity 16)

Main lines, most intense first (10° ≤ 2θ ≤ 80°):
15.41 deg, intensity 1000, hkl 2 0 0; 29.51 deg, intensity 897, hkl 3 1 2; 22.46 deg, intensity 612, hkl 2 0 2; 19.59 deg, intensity 584, hkl 1 1 2; 31.10 deg, intensity 285, hkl 4 0 0; 24.47 deg, intensity 230, hkl 3 1 0